(1)
For Ac3Nd2Tl2, the PBE geometry in Alexandria gives the theoretical PXRD pattern in this record (Cu Kα, 1.54184 Å).
Intensities are scaled so that the largest is 100.

```
7
Lattice="2.546 -13.066 0.000 2.546 13.066 0.000 0.000 0.000 3.802" Properties=species:S:1:pos:R:3 pbc="T T T"
Ac 0.000 0.000 0.000
Ac 2.546 9.304 0.000
Ac 2.546 -9.304 0.000
Nd 2.546 5.596 1.901
Nd 2.546 -5.596 1.901
Tl 2.546 1.971 1.901
Tl 2.546 -1.971 1.901
```

Top 10 peaks for 2θ from 10° to 80°, in order of rising 2θ:
| two_theta | I (rel.) |
| --- | --- |
| 29.52 | 93 |
| 29.67 | 100 |
| 31.23 | 44 |
| 35.25 | 32 |
| 36.26 | 24 |
| 47.82 | 42 |
| 51.47 | 18 |
| 54.71 | 20 |
| 57.32 | 32 |
| 59.82 | 27 |


(2)
For B3C5, the PBE geometry in Alexandria gives the theoretical PXRD pattern in this record (Cu Kα, 1.54184 Å).
Intensities are scaled so that the largest is 100.

```
8
Lattice="3.732 0.000 0.000 0.000 3.732 0.000 0.000 0.000 3.732" Properties=species:S:1:pos:R:3 pbc="T T T"
B 0.000 0.000 1.866
B 0.000 1.866 0.000
B 1.866 0.000 0.000
C 0.981 0.981 0.981
C 0.981 2.751 2.751
C 1.866 1.866 1.866
C 2.751 0.981 2.751
C 2.751 2.751 0.981
```

Top 6 peaks for 2θ from 10° to 80°, in order of rising 2θ:
| two_theta | I (rel.) |
| --- | --- |
| 23.84 | 6 |
| 33.97 | 1 |
| 41.93 | 100 |
| 48.80 | 1 |
| 60.79 | 1 |
| 71.50 | 40 |


(3)
For LiB6H6, the PBE geometry in Alexandria gives the theoretical PXRD pattern in this record (Cu Kα, 1.54184 Å).
Intensities are scaled so that the largest is 100.

```
26
Lattice="0.000 4.965 4.965 4.965 0.000 4.965 4.965 4.965 0.000" Properties=species:S:1:pos:R:3 pbc="T T T"
Li 2.483 2.483 2.483
Li 7.448 7.448 7.448
B 5.844 4.965 1.443
B 4.965 1.443 4.087
B 8.488 4.087 4.965
B 4.087 4.965 1.443
B 8.488 5.844 4.965
B 4.965 1.443 5.844
B 4.965 8.488 4.087
B 1.443 4.087 4.965
B 5.844 4.965 8.488
B 1.443 5.844 4.965
B 4.965 8.488 5.844
B 4.087 4.965 8.488
H 6.422 4.965 2.494
H 4.965 2.494 3.509
H 7.436 3.509 4.965
H 3.509 4.965 2.494
H 7.436 6.422 4.965
H 4.965 2.494 6.422
H 4.965 7.436 3.509
H 2.494 3.509 4.965
H 6.422 4.965 7.436
H 2.494 6.422 4.965
H 4.965 7.436 6.422
H 3.509 4.965 7.436
```

Top 10 peaks for 2θ from 10° to 80°, in order of rising 2θ:
| two_theta | I (rel.) |
| --- | --- |
| 15.45 | 100 |
| 17.86 | 16 |
| 29.84 | 2 |
| 39.56 | 3 |
| 40.63 | 10 |
| 54.68 | 4 |
| 58.81 | 2 |
| 68.08 | 3 |
| 71.03 | 3 |
| 73.21 | 3 |


(4)
For Pa3PdPt3, the PBE geometry in Alexandria gives the theoretical PXRD pattern in this record (Cu Kα, 1.54184 Å).
Intensities are scaled so that the largest is 100.

```
14
Lattice="5.527 0.000 0.000 0.517 8.093 0.000 1.764 3.852 7.147" Properties=species:S:1:pos:R:3 pbc="T T T"
Pa 1.275 3.566 1.045
Pa 2.780 6.633 2.950
Pa 3.768 10.803 6.098
Pa 4.041 1.142 1.049
Pa 5.028 5.311 4.197
Pa 6.533 8.379 6.102
Pd 2.107 5.660 5.941
Pd 5.702 6.285 1.206
Pt 1.870 8.752 1.274
Pt 2.108 3.964 3.723
Pt 3.810 7.989 5.465
Pt 3.999 3.955 1.682
Pt 5.700 7.980 3.424
Pt 5.939 3.193 5.873
```

Top 10 peaks for 2θ from 10° to 80°, in order of rising 2θ:
| two_theta | I (rel.) |
| --- | --- |
| 21.38 | 42 |
| 21.94 | 100 |
| 33.98 | 95 |
| 36.11 | 65 |
| 37.37 | 46 |
| 37.76 | 71 |
| 37.89 | 47 |
| 38.81 | 56 |
| 39.77 | 58 |
| 40.84 | 84 |


(5)
For SmEuOs4, the PBE geometry in Alexandria gives the theoretical PXRD pattern in this record (Cu Kα, 1.54184 Å).
Intensities are scaled so that the largest is 100.

```
6
Lattice="0.000 3.826 3.826 3.826 0.000 3.826 3.826 3.826 0.000" Properties=species:S:1:pos:R:3 pbc="T T T"
Sm 0.000 0.000 0.000
Eu 5.740 5.740 5.740
Os 2.870 2.870 2.870
Os 4.783 4.783 2.870
Os 4.783 2.870 4.783
Os 2.870 4.783 4.783
```

Top 10 peaks for 2θ from 10° to 80°, in order of rising 2θ:
| two_theta | I (rel.) |
| --- | --- |
| 20.10 | 13 |
| 33.11 | 21 |
| 39.04 | 100 |
| 40.85 | 48 |
| 47.52 | 8 |
| 52.09 | 3 |
| 59.14 | 8 |
| 63.13 | 33 |
| 69.48 | 30 |
| 79.15 | 3 |


(6)
For NaTiTl2Br6, the PBE geometry in Alexandria gives the theoretical PXRD pattern in this record (Cu Kα, 1.54184 Å).
Intensities are scaled so that the largest is 100.

```
10
Lattice="3.878 2.239 6.238 -3.878 2.239 6.238 0.000 -4.478 6.238" Properties=species:S:1:pos:R:3 pbc="T T T"
Na 0.000 0.000 0.000
Ti 0.000 0.000 9.294
Tl 0.000 0.000 5.063
Tl 0.000 0.000 14.482
Br -2.048 0.510 7.757
Br -1.524 -1.518 10.744
Br 0.582 -2.028 7.757
Br -0.553 2.079 10.744
Br 1.465 1.518 7.757
Br 2.077 -0.561 10.744
```

Top 10 peaks for 2θ from 10° to 80°, in order of rising 2θ:
| two_theta | I (rel.) |
| --- | --- |
| 16.24 | 37 |
| 22.93 | 30 |
| 23.17 | 46 |
| 27.07 | 38 |
| 28.23 | 100 |
| 28.62 | 36 |
| 32.83 | 91 |
| 36.99 | 26 |
| 40.28 | 27 |
| 40.42 | 30 |


(7)
For Na4B5C3, the PBE geometry in Alexandria gives the theoretical PXRD pattern in this record (Cu Kα, 1.54184 Å).
Intensities are scaled so that the largest is 100.

```
24
Lattice="2.810 0.000 0.000 0.000 8.534 0.000 0.000 0.000 10.118" Properties=species:S:1:pos:R:3 pbc="T T T"
Na 0.702 0.012 1.256
Na 0.702 4.255 1.256
Na 0.702 4.295 6.346
Na 0.702 8.506 6.346
Na 2.107 0.028 3.772
Na 2.107 4.239 3.772
Na 2.107 4.279 8.862
Na 2.107 8.522 8.862
B 0.702 2.134 2.822
B 0.702 2.134 4.565
B 0.702 2.134 8.076
B 0.702 6.401 4.428
B 0.702 6.401 9.738
B 2.107 2.134 0.381
B 2.107 2.134 5.690
B 2.107 6.401 2.042
B 2.107 6.401 5.553
B 2.107 6.401 7.296
C 0.702 2.134 9.687
C 0.702 6.401 2.866
C 0.702 6.401 8.113
C 2.107 2.134 2.005
C 2.107 2.134 7.252
C 2.107 6.401 0.431
```

Top 10 peaks for 2θ from 10° to 80°, in order of rising 2θ:
| two_theta | I (rel.) |
| --- | --- |
| 35.49 | 8 |
| 36.58 | 12 |
| 41.50 | 36 |
| 42.43 | 100 |
| 57.19 | 7 |
| 64.44 | 12 |
| 66.56 | 6 |
| 76.89 | 4 |
| 77.55 | 9 |
| 78.95 | 4 |


(8)
For U3H2O10, the PBE geometry in Alexandria gives the theoretical PXRD pattern in this record (Cu Kα, 1.54184 Å).
Intensities are scaled so that the largest is 100.

```
15
Lattice="5.541 0.000 0.000 1.718 5.675 0.000 2.291 1.427 7.026" Properties=species:S:1:pos:R:3 pbc="T T T"
U 0.000 0.000 0.000
U 4.034 3.544 1.746
U 5.515 3.558 5.280
H 3.125 4.731 4.171
H 6.424 2.372 2.856
O 2.694 5.576 1.611
O 2.599 2.607 2.372
O 4.059 4.584 3.866
O 5.047 5.271 6.725
O 4.062 2.580 6.000
O 5.487 4.522 1.026
O 4.502 1.831 0.301
O 5.490 2.519 3.160
O 6.951 4.495 4.654
O 6.856 1.526 5.415
```

Top 10 peaks for 2θ from 10° to 80°, in order of rising 2θ:
| two_theta | I (rel.) |
| --- | --- |
| 12.60 | 32 |
| 18.27 | 46 |
| 20.71 | 100 |
| 26.13 | 38 |
| 27.00 | 45 |
| 27.19 | 45 |
| 28.63 | 24 |
| 32.75 | 18 |
| 34.27 | 18 |
| 42.13 | 20 |


(9)
For BeAl6Fe, the PBE geometry in Alexandria gives the theoretical PXRD pattern in this record (Cu Kα, 1.54184 Å).
Intensities are scaled so that the largest is 100.

```
8
Lattice="2.044 -5.925 0.000 2.044 5.925 0.000 -0.067 0.000 5.386" Properties=species:S:1:pos:R:3 pbc="T T T"
Be 0.000 0.000 0.000
Al 1.993 3.856 1.370
Al 2.027 3.856 4.016
Al 2.016 0.000 1.395
Al 2.004 0.000 3.991
Al 1.993 -3.856 1.370
Al 2.027 -3.856 4.016
Fe -0.034 0.000 2.693
```

Top 10 peaks for 2θ from 10° to 80°, in order of rising 2θ:
| two_theta | I (rel.) |
| --- | --- |
| 14.95 | 64 |
| 16.46 | 51 |
| 22.31 | 42 |
| 23.02 | 52 |
| 31.50 | 55 |
| 44.33 | 58 |
| 45.95 | 50 |
| 46.26 | 100 |
| 46.68 | 98 |
| 65.76 | 34 |


(10)
For BaSr6Cd2, the PBE geometry in Alexandria gives the theoretical PXRD pattern in this record (Cu Kα, 1.54184 Å).
Intensities are scaled so that the largest is 100.

```
9
Lattice="5.753 0.000 0.000 0.000 5.753 0.000 0.000 0.000 13.038" Properties=species:S:1:pos:R:3 pbc="T T T"
Ba 0.000 0.000 0.000
Sr 0.000 0.000 6.519
Sr 0.000 2.877 3.328
Sr 0.000 2.877 9.709
Sr 2.877 0.000 3.328
Sr 2.877 0.000 9.709
Sr 2.877 2.877 6.519
Cd 2.877 2.877 1.409
Cd 2.877 2.877 11.628
```

Top 10 peaks for 2θ from 10° to 80°, in order of rising 2θ:
| two_theta | I (rel.) |
| --- | --- |
| 25.69 | 11 |
| 25.82 | 100 |
| 31.09 | 49 |
| 31.55 | 14 |
| 41.89 | 11 |
| 44.55 | 21 |
| 44.88 | 10 |
| 47.43 | 10 |
| 52.20 | 30 |
| 73.64 | 9 |


(11)
For NpTlZn2Cl8, the PBE geometry in Alexandria gives the theoretical PXRD pattern in this record (Cu Kα, 1.54184 Å).
Intensities are scaled so that the largest is 100.

```
12
Lattice="3.233 1.867 9.844 -3.233 1.867 9.844 0.000 -3.733 9.844" Properties=species:S:1:pos:R:3 pbc="T T T"
Np 0.000 0.000 0.000
Tl 0.000 0.000 14.767
Zn 0.000 0.000 7.309
Zn 0.000 0.000 22.224
Cl -2.120 -0.014 11.516
Cl 0.000 0.000 5.104
Cl -1.048 -1.843 18.017
Cl 1.072 -1.829 11.516
Cl -1.072 1.829 18.017
Cl 1.048 1.843 11.516
Cl 0.000 0.000 24.429
Cl 2.120 0.014 18.017
```

Top 10 peaks for 2θ from 10° to 80°, in order of rising 2θ:
| two_theta | I (rel.) |
| --- | --- |
| 16.93 | 28 |
| 19.90 | 100 |
| 27.59 | 45 |
| 28.97 | 37 |
| 33.15 | 38 |
| 34.27 | 34 |
| 44.54 | 29 |
| 46.37 | 37 |
| 48.79 | 23 |
| 49.65 | 17 |


(12)
For ZrSc2Pb2, the PBE geometry in Alexandria gives the theoretical PXRD pattern in this record (Cu Kα, 1.54184 Å).
Intensities are scaled so that the largest is 100.

```
10
Lattice="7.874 0.000 0.000 0.000 7.874 0.000 0.000 0.000 3.980" Properties=species:S:1:pos:R:3 pbc="T T T"
Zr 0.000 0.000 0.000
Zr 3.937 3.937 0.000
Sc 1.280 2.657 1.990
Sc 2.657 6.594 1.990
Sc 5.217 1.280 1.990
Sc 6.594 5.217 1.990
Pb 1.126 5.063 0.000
Pb 2.811 1.126 0.000
Pb 5.063 6.748 0.000
Pb 6.748 2.811 0.000
```

Top 10 peaks for 2θ from 10° to 80°, in order of rising 2θ:
| two_theta | I (rel.) |
| --- | --- |
| 22.33 | 41 |
| 25.29 | 42 |
| 33.99 | 100 |
| 36.07 | 40 |
| 42.84 | 28 |
| 45.58 | 13 |
| 52.84 | 13 |
| 59.46 | 19 |
| 68.35 | 20 |
| 76.76 | 10 |